1.
Simulated powder X-ray diffraction pattern of Rb6Co2O7 for Cu Kα (λ = 1.5418 Å), from the PBE+U geometry in the Materials Project.
Peak positions follow from Bragg's law for the DFT cell and can differ from measured ones.

The 10 most intense peaks (5° ≤ 2θ ≤ 70°), by intensity:
| two_theta | I (rel.) |
| --- | --- |
| 25.59 | 100.0 |
| 10.55 | 65.1 |
| 32.02 | 50.2 |
| 41.43 | 28.1 |
| 28.16 | 21.8 |
| 35.85 | 18.8 |
| 48.82 | 18.1 |
| 33.46 | 14.3 |
| 64.62 | 12.4 |
| 46.20 | 10.5 |

Cell: 9.6828 9.6828 10.0186 Å, 90.00 90.00 120.00°
Fractional coordinates of all 30 atoms:
Rb1 0.0318 0.3703 0.3758
Rb2 0.0378 0.3898 0.8731
Rb3 0.3385 0.9682 0.3758
Rb4 0.3521 0.9622 0.8731
Rb5 0.3703 0.3385 0.6242
Rb6 0.3898 0.3521 0.1269
Rb7 0.6102 0.6479 0.8731
Rb8 0.6297 0.6615 0.3758
Rb9 0.6479 0.0378 0.1269
Rb10 0.6615 0.0318 0.6242
Rb11 0.9622 0.6102 0.1269
Rb12 0.9682 0.6297 0.6242
Co1 0.3333 0.6667 0.1843
Co2 0.3333 0.6667 0.5646
Co3 0.6667 0.3333 0.4354
Co4 0.6667 0.3333 0.8157
O1 0.1697 0.4801 0.6215
O2 0.1749 0.4757 0.1273
O3 0.3008 0.8251 0.1273
O4 0.3104 0.8303 0.6215
O5 0.3333 0.6667 0.3734
O6 0.4757 0.3008 0.8727
O7 0.4801 0.3104 0.3785
O8 0.5199 0.6896 0.6215
O9 0.5243 0.6992 0.1273
O10 0.6667 0.3333 0.6266
O11 0.6896 0.1697 0.3785
O12 0.6992 0.1749 0.8727
O13 0.8251 0.5243 0.8727
O14 0.8303 0.5199 0.3785

=====

2.
Simulated powder X-ray diffraction pattern of ZnCo2Cu2O8 for Cu Kα (λ = 1.5418 Å), from the PBE+U geometry in the Materials Project.
Peak positions follow from Bragg's law for the DFT cell and can differ from measured ones.

The 10 most intense peaks (5° ≤ 2θ ≤ 70°), by intensity:
| two_theta | I (rel.) |
| --- | --- |
| 30.23 | 100.0 |
| 31.03 | 82.0 |
| 33.31 | 66.8 |
| 30.62 | 56.5 |
| 20.12 | 55.8 |
| 29.57 | 51.3 |
| 34.65 | 48.4 |
| 25.02 | 39.5 |
| 35.88 | 36.3 |
| 26.58 | 33.1 |

Cell: 6.4204 8.2868 11.8297 Å, 90.00 91.68 90.00°
Fractional coordinates of all 52 atoms:
Zn1 0.1109 0.1584 0.0491
Zn2 0.1109 0.3416 0.5491
Zn3 0.8891 0.6584 0.4509
Zn4 0.8891 0.8416 0.9509
Co1 0.1030 0.0368 0.3413
Co2 0.1030 0.4632 0.8413
Co3 0.3928 0.5918 0.3679
Co4 0.3928 0.9082 0.8679
Co5 0.6072 0.0918 0.1321
Co6 0.6072 0.4082 0.6321
Co7 0.8970 0.5368 0.1587
Co8 0.8970 0.9632 0.6587
Cu1 0.2494 0.6931 0.6208
Cu2 0.2494 0.8069 0.1208
Cu3 0.3796 0.0595 0.6325
Cu4 0.3796 0.4405 0.1325
Cu5 0.6204 0.5595 0.8675
Cu6 0.6204 0.9405 0.3675
Cu7 0.7506 0.1931 0.8792
Cu8 0.7506 0.3069 0.3792
O1 0.0238 0.2260 0.3994
O2 0.0238 0.2740 0.8994
O3 0.0951 0.1081 0.6264
O4 0.0951 0.3919 0.1264
O5 0.1245 0.0264 0.1979
O6 0.1245 0.4736 0.6979
O7 0.1906 0.5787 0.4792
O8 0.1906 0.9213 0.9792
O9 0.3260 0.6297 0.2159
O10 0.3260 0.8703 0.7159
O11 0.3458 0.5145 0.9012
O12 0.3458 0.9855 0.4012
O13 0.4068 0.2297 0.0812
O14 0.4068 0.2703 0.5812
O15 0.4886 0.1061 0.8590
O16 0.4886 0.3939 0.3590
O17 0.5114 0.6061 0.6410
O18 0.5114 0.8939 0.1410
O19 0.5932 0.7297 0.4188
O20 0.5932 0.7703 0.9188
O21 0.6542 0.0145 0.5988
O22 0.6542 0.4855 0.0988
O23 0.6740 0.1297 0.2841
O24 0.6740 0.3703 0.7841
O25 0.8094 0.0787 0.0208
O26 0.8094 0.4213 0.5208
O27 0.8755 0.5264 0.3021
O28 0.8755 0.9736 0.8021
O29 0.9049 0.6081 0.8736
O30 0.9049 0.8919 0.3736
O31 0.9762 0.7260 0.1006
O32 0.9762 0.7740 0.6006

=====

3.
Simulated powder X-ray diffraction pattern of Mn3ReO6 for Cu Kα (λ = 1.5418 Å), from the PBE+U geometry in the Materials Project.
Peak positions follow from Bragg's law for the DFT cell and can differ from measured ones.

The 10 most intense peaks (5° ≤ 2θ ≤ 70°), by intensity:
| two_theta | I (rel.) |
| --- | --- |
| 32.74 | 100.0 |
| 32.87 | 96.4 |
| 20.08 | 54.8 |
| 32.59 | 52.0 |
| 33.44 | 47.0 |
| 19.90 | 34.5 |
| 19.78 | 33.1 |
| 58.35 | 32.2 |
| 46.38 | 25.8 |
| 59.19 | 24.9 |

Cell: 5.3588 5.4536 7.8309 Å, 90.35 90.00 90.52°
Fractional coordinates of all 20 atoms:
Mn1 0.0000 0.0000 0.0000
Mn2 0.0000 0.4546 0.7557
Mn3 0.0000 0.5454 0.2443
Mn4 0.4954 0.9489 0.7405
Mn5 0.5000 0.5000 0.5000
Mn6 0.5046 0.0511 0.2595
Re1 0.0000 0.0000 0.5000
Re2 0.5000 0.5000 0.0000
O1 0.1219 0.9270 0.2665
O2 0.1588 0.7014 0.5749
O3 0.1922 0.6706 0.9436
O4 0.3083 0.1712 0.5562
O5 0.3448 0.2001 0.9255
O6 0.3789 0.4284 0.2333
O7 0.6211 0.5716 0.7667
O8 0.6552 0.7999 0.0745
O9 0.6917 0.8288 0.4438
O10 0.8078 0.3294 0.0564
O11 0.8412 0.2986 0.4251
O12 0.8781 0.0730 0.7335

=====

4.
Simulated powder X-ray diffraction pattern of ZnFe4CoO8 for Cu Kα (λ = 1.5418 Å), from the PBE+U geometry in the Materials Project.
Peak positions follow from Bragg's law for the DFT cell and can differ from measured ones.

The 10 most intense peaks (5° ≤ 2θ ≤ 70°), by intensity:
| two_theta | I (rel.) |
| --- | --- |
| 34.83 | 100.0 |
| 61.39 | 44.3 |
| 55.92 | 36.4 |
| 29.57 | 33.1 |
| 42.32 | 16.4 |
| 52.47 | 11.7 |
| 36.43 | 7.9 |
| 17.98 | 6.6 |
| 69.60 | 4.5 |
| 64.53 | 0.7 |

Cell: 6.0413 6.0413 6.0413 Å, 60.00 60.00 60.00°
Fractional coordinates of all 14 atoms:
Zn1 0.0000 0.0000 0.0000
Fe1 0.3750 0.3750 0.3750
Fe2 0.3750 0.3750 0.8750
Fe3 0.3750 0.8750 0.3750
Fe4 0.8750 0.3750 0.3750
Co1 0.7500 0.7500 0.7500
O1 0.1352 0.1352 0.1352
O2 0.1352 0.1352 0.5943
O3 0.1352 0.5943 0.1352
O4 0.1556 0.6148 0.6148
O5 0.5943 0.1352 0.1352
O6 0.6148 0.1556 0.6148
O7 0.6148 0.6148 0.1556
O8 0.6148 0.6148 0.6148

=====

5.
Simulated powder X-ray diffraction pattern of Li3Co2O5 for Cu Kα (λ = 1.5418 Å), from the PBE+U geometry in the Materials Project.
Peak positions follow from Bragg's law for the DFT cell and can differ from measured ones.

The 10 most intense peaks (5° ≤ 2θ ≤ 70°), by intensity:
| two_theta | I (rel.) |
| --- | --- |
| 18.39 | 100.0 |
| 42.31 | 33.0 |
| 43.89 | 28.3 |
| 44.65 | 26.9 |
| 35.13 | 16.7 |
| 36.20 | 12.9 |
| 36.67 | 11.8 |
| 12.05 | 11.7 |
| 62.67 | 8.3 |
| 63.34 | 8.3 |

Cell: 5.0462 5.1006 7.6850 Å, 82.66 72.95 71.18°
Fractional coordinates of all 20 atoms:
Li1 0.0000 0.0000 0.0000
Li2 0.0962 0.4999 0.8035
Li3 0.2984 0.5010 0.3992
Li4 0.5000 0.5000 0.0000
Li5 0.7016 0.4990 0.6008
Li6 0.9038 0.5001 0.1965
Co1 0.1949 0.9982 0.6046
Co2 0.3970 0.9978 0.1957
Co3 0.6030 0.0022 0.8043
Co4 0.8051 0.0018 0.3954
O1 0.0576 0.2350 0.4040
O2 0.1604 0.7791 0.2065
O3 0.2716 0.2325 0.0094
O4 0.3641 0.7783 0.7886
O5 0.4606 0.2266 0.6104
O6 0.5394 0.7734 0.3896
O7 0.6359 0.2217 0.2114
O8 0.7284 0.7675 0.9906
O9 0.8396 0.2209 0.7935
O10 0.9424 0.7650 0.5960

=====

6.
Simulated powder X-ray diffraction pattern of Cs2CrF6 for Cu Kα (λ = 1.5418 Å), from the PBE+U geometry in the Materials Project.
Peak positions follow from Bragg's law for the DFT cell and can differ from measured ones.

The 10 most intense peaks (5° ≤ 2θ ≤ 70°), by intensity:
| two_theta | I (rel.) |
| --- | --- |
| 27.54 | 100.0 |
| 33.89 | 43.9 |
| 39.34 | 38.3 |
| 48.69 | 35.0 |
| 19.38 | 34.5 |
| 16.76 | 22.7 |
| 44.21 | 22.6 |
| 64.31 | 22.0 |
| 56.85 | 21.7 |
| 60.65 | 12.6 |

Cell: 6.4784 6.4784 6.4784 Å, 60.00 60.00 60.00°
Fractional coordinates of all 9 atoms:
Cs1 0.2500 0.2500 0.2500
Cs2 0.7500 0.7500 0.7500
Cr1 0.0000 0.0000 0.0000
F1 0.2045 0.2045 0.7955
F2 0.2045 0.7955 0.2045
F3 0.2045 0.7955 0.7955
F4 0.7955 0.2045 0.2045
F5 0.7955 0.2045 0.7955
F6 0.7955 0.7955 0.2045

=====

7.
Simulated powder X-ray diffraction pattern of Ba2CaWO6 for Cu Kα (λ = 1.5418 Å), from the PBE+U geometry in the Materials Project.
Peak positions follow from Bragg's law for the DFT cell and can differ from measured ones.

The 10 most intense peaks (5° ≤ 2θ ≤ 70°), by intensity:
| two_theta | I (rel.) |
| --- | --- |
| 29.68 | 100.0 |
| 29.61 | 99.9 |
| 18.03 | 48.3 |
| 52.65 | 40.3 |
| 42.38 | 39.6 |
| 61.59 | 30.1 |
| 52.49 | 27.8 |
| 42.51 | 19.3 |
| 52.70 | 13.7 |
| 34.88 | 13.6 |

Cell: 6.0207 6.0207 6.0466 Å, 120.07 120.07 59.98°
Fractional coordinates of all 10 atoms:
Ba1 0.2497 0.2497 0.2480
Ba2 0.7503 0.7503 0.7520
Ca1 0.0000 0.0000 0.5000
W1 0.5000 0.5000 0.0000
O1 0.2479 0.7081 0.2062
O2 0.2713 0.2713 0.7285
O3 0.2919 0.7521 0.7938
O4 0.7081 0.2479 0.2062
O5 0.7287 0.7287 0.2715
O6 0.7521 0.2919 0.7938

=====

8.
Simulated powder X-ray diffraction pattern of Li3VO3F for Cu Kα (λ = 1.5418 Å), from the PBE+U geometry in the Materials Project.
Peak positions follow from Bragg's law for the DFT cell and can differ from measured ones.

The 10 most intense peaks (5° ≤ 2θ ≤ 70°), by intensity:
| two_theta | I (rel.) |
| --- | --- |
| 18.35 | 100.0 |
| 15.17 | 73.7 |
| 42.79 | 64.1 |
| 42.64 | 63.0 |
| 44.93 | 52.5 |
| 23.46 | 46.1 |
| 24.55 | 29.8 |
| 25.95 | 22.1 |
| 26.09 | 20.5 |
| 24.34 | 19.4 |

Cell: 5.1190 5.1664 5.8493 Å, 91.36 91.88 110.56°
Fractional coordinates of all 16 atoms:
Li1 0.2323 0.4909 0.1309
Li2 0.2427 0.0034 0.8760
Li3 0.2583 0.4958 0.6266
Li4 0.7417 0.5042 0.3734
Li5 0.7573 0.9966 0.1240
Li6 0.7677 0.5091 0.8691
V1 0.2298 0.9756 0.3807
V2 0.7702 0.0244 0.6193
O1 0.0050 0.2266 0.3861
O2 0.0298 0.7677 0.1402
O3 0.4996 0.2269 0.6021
O4 0.5004 0.7731 0.3979
O5 0.9702 0.2323 0.8598
O6 0.9950 0.7734 0.6139
F1 0.4881 0.2494 0.1282
F2 0.5119 0.7506 0.8718

=====

9.
Simulated powder X-ray diffraction pattern of Li5Mn3O5F3 for Cu Kα (λ = 1.5418 Å), from the PBE+U geometry in the Materials Project.
Peak positions follow from Bragg's law for the DFT cell and can differ from measured ones.

The 10 most intense peaks (5° ≤ 2θ ≤ 70°), by intensity:
| two_theta | I (rel.) |
| --- | --- |
| 17.96 | 100.0 |
| 39.74 | 52.2 |
| 43.28 | 40.6 |
| 44.02 | 39.1 |
| 33.10 | 25.1 |
| 60.47 | 23.7 |
| 18.15 | 19.5 |
| 35.59 | 16.3 |
| 36.02 | 15.1 |
| 17.77 | 14.5 |

Cell: 5.8010 5.9333 6.0987 Å, 118.06 117.84 90.93°
Fractional coordinates of all 16 atoms:
Li1 0.0000 0.0000 0.0000
Li2 0.0026 0.5211 0.0045
Li3 0.0125 0.5131 0.5090
Li4 0.5195 0.0019 0.0041
Li5 0.5321 0.5316 0.5424
Mn1 0.5142 0.0136 0.5119
Mn2 0.5160 0.5169 0.0056
Mn3 0.9966 0.9968 0.4766
O1 0.2628 0.7943 0.5126
O2 0.2785 0.2473 0.5323
O3 0.7486 0.7798 0.4960
O4 0.7623 0.7631 0.0071
O5 0.7682 0.2363 0.5167
F1 0.2357 0.7603 0.9800
F2 0.2746 0.2733 0.0416
F3 0.7903 0.2670 0.0438

=====

10.
Simulated powder X-ray diffraction pattern of Mo6NO18 for Cu Kα (λ = 1.5418 Å), from the PBE+U geometry in the Materials Project.
Peak positions follow from Bragg's law for the DFT cell and can differ from measured ones.

The 10 most intense peaks (5° ≤ 2θ ≤ 70°), by intensity:
| two_theta | I (rel.) |
| --- | --- |
| 9.36 | 100.0 |
| 24.93 | 80.9 |
| 28.68 | 49.0 |
| 25.32 | 41.9 |
| 34.51 | 32.1 |
| 18.78 | 24.4 |
| 43.91 | 23.1 |
| 54.85 | 16.9 |
| 56.10 | 16.0 |
| 45.23 | 15.7 |

Cell: 10.9106 10.9106 3.7893 Å, 90.00 90.00 120.00°
Fractional coordinates of all 25 atoms:
Mo1 0.0212 0.2288 0.0000
Mo2 0.1256 0.6878 0.4999
Mo3 0.2076 0.9788 0.0000
Mo4 0.3122 0.4379 0.4999
Mo5 0.5621 0.8744 0.4999
Mo6 0.7712 0.7924 0.0000
N1 0.6667 0.3333 0.1451
O1 0.0875 0.2557 0.5000
O2 0.1652 0.5511 0.5000
O3 0.1651 0.7541 0.0000
O4 0.1682 0.1156 0.0000
O5 0.1683 0.9125 0.5000
O6 0.2459 0.4109 0.0000
O7 0.3860 0.8348 0.5000
O8 0.3876 0.0658 0.9998
O9 0.3993 0.3450 0.5001
O10 0.4489 0.6140 0.5000
O11 0.5891 0.8349 0.0000
O12 0.6550 0.0544 0.5001
O13 0.6782 0.6124 0.9998
O14 0.7443 0.8317 0.5000
O15 0.8844 0.0526 0.0000
O16 0.9342 0.3218 0.9998
O17 0.9456 0.6007 0.5001
O18 0.9474 0.8318 0.0000